Record 1
The following is a computed X-ray diffraction stick pattern of Cd2HgSe2S. It was derived from DFT lattice parameters and positions (PBE), using Cu Kα.
Peak positions follow from Bragg's law for the DFT cell and can differ from measured ones.

Structure:
```
Cd2HgSe2S
1.0
6.4989 -3.7509 0.0000
6.4989 3.7509 0.0000
0.0000 0.0000 7.0804
Cd Hg Se S
4 2 4 2
Direct
0.0100 0.6663 0.5000
0.3337 0.9900 0.5000
0.6663 0.0100 0.0000
0.9900 0.3337 0.0000
0.3412 0.6588 0.9842
0.6588 0.3412 0.4842
0.0005 0.6669 0.1207
0.3331 0.9995 0.1207
0.6669 0.0005 0.6207
0.9995 0.3331 0.6207
0.3348 0.6652 0.6163
0.6652 0.3348 0.1163
```

Main lines, by angle (2θ from 10° to 90°):
| Position (°2θ) | I (rel.) |
| --- | --- |
| 23.72 | 85 |
| 25.16 | 54 |
| 26.90 | 100 |
| 34.84 | 35 |
| 41.70 | 75 |
| 45.40 | 77 |
| 49.32 | 51 |
| 63.33 | 28 |
| 71.17 | 18 |
| 78.73 | 29 |

***

Record 2
The following is a computed X-ray diffraction stick pattern of Cs6CdIn. It was derived from DFT lattice parameters and positions (PBE), using Cu Kα.
Peak positions follow from Bragg's law for the DFT cell and can differ from measured ones.

Structure:
```
Cs6CdIn
1.0
5.1911 0.0000 0.0000
0.0000 7.8328 8.3968
0.0000 -7.8328 8.3968
Cs Cd In
6 1 1
Direct
0.0000 0.0000 0.0000
0.0000 0.1504 0.4503
0.0000 0.4503 0.1504
0.5000 0.3279 0.7602
0.5000 0.7224 0.7224
0.5000 0.7602 0.3279
0.0000 0.5127 0.5127
0.5000 0.4309 0.4309
```

Main lines, by angle (2θ from 10° to 90°):
| Position (°2θ) | I (rel.) |
| --- | --- |
| 17.79 | 23 |
| 18.77 | 34 |
| 21.16 | 31 |
| 23.12 | 100 |
| 23.30 | 28 |
| 24.06 | 58 |
| 25.09 | 33 |
| 29.02 | 34 |
| 29.65 | 28 |
| 34.56 | 25 |

***

Record 3
The following is a computed X-ray diffraction stick pattern of Dy3InO6. It was derived from DFT lattice parameters and positions (PBE), using Cu Kα.
Peak positions follow from Bragg's law for the DFT cell and can differ from measured ones.

Structure:
```
Dy3InO6
1.0
4.4804 -5.6148 0.0000
4.4804 5.6148 0.0000
0.0000 0.0000 5.5983
Dy In O
6 2 12
Direct
0.1003 0.8997 0.5000
0.1977 0.4101 0.5538
0.4101 0.1977 0.0538
0.5899 0.8023 0.5538
0.8023 0.5899 0.0538
0.8997 0.1003 0.0000
0.3170 0.6830 0.0690
0.6830 0.3170 0.5690
0.0679 0.6013 0.2760
0.1420 0.1791 0.2758
0.1791 0.1420 0.7758
0.2807 0.7193 0.7112
0.3987 0.9321 0.2760
0.4750 0.5250 0.2763
0.5250 0.4750 0.7763
0.6013 0.0679 0.7760
0.7193 0.2807 0.2112
0.8209 0.8580 0.2758
0.8580 0.8209 0.7758
0.9321 0.3987 0.7760
```

Main lines, by angle (2θ from 10° to 90°):
| Position (°2θ) | I (rel.) |
| --- | --- |
| 30.10 | 100 |
| 30.41 | 33 |
| 30.98 | 12 |
| 31.94 | 33 |
| 45.12 | 16 |
| 45.77 | 16 |
| 50.87 | 18 |
| 55.82 | 14 |
| 59.52 | 14 |
| 61.35 | 12 |

***

Record 4
The following is a computed X-ray diffraction stick pattern of Tb7Pr4Ho. It was derived from DFT lattice parameters and positions (PBE), using Cu Kα.
Peak positions follow from Bragg's law for the DFT cell and can differ from measured ones.

Structure:
```
Tb7Pr4Ho
1.0
6.5896 0.0000 0.0000
0.9248 6.8331 0.0000
2.0070 0.4902 8.9392
Tb Pr Ho
7 4 1
Direct
0.0000 0.0000 0.0000
0.1879 0.6050 0.3830
0.3183 0.1972 0.6405
0.4892 0.7467 0.0506
0.5108 0.2533 0.9494
0.6817 0.8028 0.3595
0.8121 0.3950 0.6170
0.1618 0.1143 0.3061
0.3597 0.6894 0.7178
0.6403 0.3106 0.2822
0.8382 0.8857 0.6939
0.0000 0.5000 0.0000
```

Main lines, by angle (2θ from 10° to 90°):
| Position (°2θ) | I (rel.) |
| --- | --- |
| 29.99 | 57 |
| 30.81 | 62 |
| 31.17 | 84 |
| 31.37 | 79 |
| 31.69 | 100 |
| 31.97 | 55 |
| 32.12 | 27 |
| 44.90 | 19 |
| 46.36 | 21 |
| 56.37 | 29 |

***

Record 5
The following is a computed X-ray diffraction stick pattern of AcSm6Tm4. It was derived from DFT lattice parameters and positions (PBE), using Cu Kα.
Peak positions follow from Bragg's law for the DFT cell and can differ from measured ones.

Structure:
```
AcSm6Tm4
1.0
2.9390 -4.8777 0.0000
2.9390 4.8777 0.0000
0.0000 0.0000 25.8080
Ac Sm Tm
2 12 8
Direct
0.2100 0.7900 0.7500
0.7900 0.2100 0.2500
0.1246 0.8754 0.1786
0.1246 0.8754 0.3214
0.1983 0.8017 0.5963
0.1983 0.8017 0.9037
0.4501 0.5499 0.2500
0.5000 0.5000 0.0000
0.5000 0.5000 0.5000
0.5499 0.4501 0.7500
0.8017 0.1983 0.0963
0.8017 0.1983 0.4037
0.8754 0.1246 0.6786
0.8754 0.1246 0.8214
0.1520 0.8480 0.0428
0.1520 0.8480 0.4572
0.4590 0.5410 0.1237
0.4590 0.5410 0.3763
0.5410 0.4590 0.6237
0.5410 0.4590 0.8763
0.8480 0.1520 0.5428
0.8480 0.1520 0.9572
```

Main lines, by angle (2θ from 10° to 90°):
| Position (°2θ) | I (rel.) |
| --- | --- |
| 27.65 | 13 |
| 30.04 | 51 |
| 30.40 | 100 |
| 31.44 | 66 |
| 31.64 | 37 |
| 32.98 | 42 |
| 43.53 | 32 |
| 53.86 | 20 |
| 54.69 | 14 |
| 56.74 | 18 |

***

Record 6
The following is a computed X-ray diffraction stick pattern of Cd3Cu8Sn. It was derived from DFT lattice parameters and positions (PBE), using Cu Kα.
Peak positions follow from Bragg's law for the DFT cell and can differ from measured ones.

Structure:
```
Cd3Cu8Sn
1.0
2.5316 1.4616 8.1681
-2.5316 1.4616 8.1681
0.0000 -2.9233 8.1681
Cd Cu Sn
3 8 1
Direct
0.0000 0.0000 0.0000
0.1234 0.1234 0.1234
0.6296 0.6296 0.6296
0.0644 0.0644 0.5631
0.0644 0.5631 0.0644
0.0643 0.5636 0.5636
0.3138 0.3138 0.3138
0.5631 0.0644 0.0644
0.5636 0.0643 0.5636
0.5636 0.5636 0.0643
0.8138 0.8138 0.8138
0.5027 0.5027 0.5027
```

Main lines, by angle (2θ from 10° to 90°):
| Position (°2θ) | I (rel.) |
| --- | --- |
| 35.46 | 48 |
| 35.76 | 46 |
| 41.86 | 51 |
| 41.99 | 100 |
| 42.25 | 48 |
| 43.86 | 36 |
| 68.14 | 22 |
| 68.33 | 22 |
| 75.04 | 23 |
| 75.76 | 22 |

***

Record 7
The following is a computed X-ray diffraction stick pattern of Nd2Pa2Se7. It was derived from DFT lattice parameters and positions (PBE), using Cu Kα.
Peak positions follow from Bragg's law for the DFT cell and can differ from measured ones.

Structure:
```
Nd2Pa2Se7
1.0
-2.0366 7.5031 4.5760
2.0366 -7.5031 4.5760
2.0366 7.5031 -4.5760
Nd Pa Se
2 2 7
Direct
0.0000 0.0000 0.0000
0.5450 0.0450 0.5000
0.0729 0.8125 0.2604
0.5521 0.8125 0.7396
0.2312 0.7312 0.5000
0.2970 0.1121 0.1849
0.3515 0.4970 0.8545
0.6425 0.4970 0.1455
0.7093 0.3240 0.3853
0.9271 0.1121 0.8151
0.9387 0.3240 0.6147
```

Main lines, by angle (2θ from 10° to 90°):
| Position (°2θ) | I (rel.) |
| --- | --- |
| 22.76 | 49 |
| 23.91 | 25 |
| 26.74 | 25 |
| 29.95 | 23 |
| 33.93 | 100 |
| 34.48 | 32 |
| 38.78 | 59 |
| 41.13 | 29 |
| 44.49 | 26 |
| 62.16 | 22 |

***

Record 8
The following is a computed X-ray diffraction stick pattern of ZnHg2GeO4. It was derived from DFT lattice parameters and positions (PBE), using Cu Kα.
Peak positions follow from Bragg's law for the DFT cell and can differ from measured ones.

Structure:
```
ZnHg2GeO4
1.0
6.3254 0.0000 0.0000
0.0000 7.4277 0.0000
0.0000 0.0000 5.3222
Zn Hg Ge O
2 4 2 8
Direct
0.0000 0.0997 0.0000
0.5000 0.9003 0.5000
0.2164 0.3644 0.5189
0.2836 0.6356 0.0189
0.7164 0.6356 0.0189
0.7836 0.3644 0.5189
0.0000 0.8521 0.4971
0.5000 0.1479 0.9971
0.0000 0.0696 0.6294
0.0000 0.8473 0.1549
0.2444 0.7482 0.5850
0.2556 0.2518 0.0850
0.5000 0.1527 0.6549
0.5000 0.9304 0.1294
0.7444 0.2518 0.0850
0.7556 0.7482 0.5850
```

Main lines, by angle (2θ from 10° to 90°):
| Position (°2θ) | I (rel.) |
| --- | --- |
| 11.91 | 24 |
| 20.53 | 28 |
| 29.32 | 100 |
| 30.73 | 46 |
| 33.68 | 42 |
| 35.15 | 52 |
| 41.15 | 18 |
| 46.25 | 32 |
| 49.79 | 21 |
| 57.58 | 19 |